# 1
This entry pairs a crystal structure of NdCu2B2O6 with its simulated PXRD pattern. Radiation: Cu Kα (λ = 1.5418 Å). Structure: a crystal structure in Alexandria, relaxed with PBE.
No peak broadening, texture or thermal motion is included.

Structural model:
```
data_NdCu2B2O6
_chemical_formula_sum 'Nd1 Cu2 B2 O6'
_cell_length_a 5.179
_cell_length_b 5.179
_cell_length_c 6.279
_cell_angle_alpha 90.00
_cell_angle_beta 90.00
_cell_angle_gamma 120.00
_space_group_name_H-M_alt 'P 1'
_space_group_IT_number 1
_space_group_name_Hall 'P 1'
loop_
_atom_site_label
_atom_site_type_symbol
_atom_site_fract_x
_atom_site_fract_y
_atom_site_fract_z
Nd1 Nd 0.000 0.000 0.000
Cu1 Cu 0.333 0.667 0.271
Cu2 Cu 0.667 0.333 0.729
B1 B 0.333 0.667 0.764
B2 B 0.667 0.333 0.236
O1 O 0.067 0.669 0.769
O2 O 0.331 0.398 0.769
O3 O 0.398 0.067 0.231
O4 O 0.602 0.933 0.769
O5 O 0.669 0.602 0.231
O6 O 0.933 0.331 0.231
```

The 8 most intense peaks (2θ = 10–80°), low angle first:
Position (°2θ), I (rel.)
14.10, 412
24.39, 1000
34.64, 469
34.88, 754
37.57, 225
42.82, 318
56.20, 269
62.24, 224



# 2
This entry pairs a crystal structure of Nd2CuB3Pt12 with its simulated PXRD pattern. Radiation: Cu Kα (λ = 1.5418 Å). Structure: a crystal structure in Alexandria, relaxed with PBE.
No peak broadening, texture or thermal motion is included.

Structural model:
```
data_Nd2CuB3Pt12
_chemical_formula_sum 'Nd2 Cu1 B3 Pt12'
_cell_length_a 7.386
_cell_length_b 7.386
_cell_length_c 7.386
_cell_angle_alpha 65.18
_cell_angle_beta 65.18
_cell_angle_gamma 65.18
_space_group_name_H-M_alt 'P 1'
_space_group_IT_number 1
_space_group_name_Hall 'P 1'
loop_
_atom_site_label
_atom_site_type_symbol
_atom_site_fract_x
_atom_site_fract_y
_atom_site_fract_z
Nd1 Nd 0.108 0.108 0.108
Nd2 Nd 0.892 0.892 0.892
Cu1 Cu 0.500 0.500 0.500
B1 B 0.000 0.500 0.500
B2 B 0.500 0.000 0.500
B3 B 0.500 0.500 0.000
Pt1 Pt 0.123 0.620 0.620
Pt2 Pt 0.174 0.174 0.588
Pt3 Pt 0.174 0.588 0.174
Pt4 Pt 0.380 0.380 0.877
Pt5 Pt 0.380 0.877 0.380
Pt6 Pt 0.412 0.826 0.826
Pt7 Pt 0.588 0.174 0.174
Pt8 Pt 0.620 0.123 0.620
Pt9 Pt 0.620 0.620 0.123
Pt10 Pt 0.826 0.412 0.826
Pt11 Pt 0.826 0.826 0.412
Pt12 Pt 0.877 0.380 0.380
```

The 8 most intense peaks (2θ = 10–80°), low angle first:
Position (°2θ), I (rel.)
33.21, 1000
36.01, 136
36.76, 192
40.40, 121
45.61, 448
49.67, 249
57.57, 143
67.68, 118



# 3
This entry pairs a crystal structure of CuNi4B with its simulated PXRD pattern. Radiation: Cu Kα (λ = 1.5418 Å). Structure: a crystal structure in Alexandria, relaxed with PBE.
No peak broadening, texture or thermal motion is included.

Structural model:
```
data_CuNi4B
_chemical_formula_sum 'Cu2 Ni8 B2'
_cell_length_a 6.479
_cell_length_b 6.479
_cell_length_c 6.479
_cell_angle_alpha 141.17
_cell_angle_beta 132.66
_cell_angle_gamma 62.83
_space_group_name_H-M_alt 'P 1'
_space_group_IT_number 1
_space_group_name_Hall 'P 1'
loop_
_atom_site_label
_atom_site_type_symbol
_atom_site_fract_x
_atom_site_fract_y
_atom_site_fract_z
Cu1 Cu 0.195 0.195 0.000
Cu2 Cu 0.805 0.805 0.000
Ni1 Ni 0.121 0.382 0.740
Ni2 Ni 0.220 0.000 0.220
Ni3 Ni 0.321 0.821 0.500
Ni4 Ni 0.358 0.618 0.740
Ni5 Ni 0.642 0.382 0.260
Ni6 Ni 0.679 0.179 0.500
Ni7 Ni 0.780 0.000 0.780
Ni8 Ni 0.879 0.618 0.260
B1 B 0.500 0.298 0.798
B2 B 0.500 0.702 0.202
```

The 8 most intense peaks (2θ = 10–80°), low angle first:
Position (°2θ), I (rel.)
38.23, 346
41.36, 154
41.94, 554
46.13, 676
47.71, 1000
58.04, 222
78.33, 131
79.59, 125



# 4
This entry pairs a crystal structure of Cu3BO5 with its simulated PXRD pattern. Radiation: Cu Kα (λ = 1.5418 Å). Structure: a crystal structure in Alexandria, relaxed with PBE.
No peak broadening, texture or thermal motion is included.

Structural model:
```
data_Cu3BO5
_chemical_formula_sum 'Cu12 B4 O20'
_cell_length_a 3.427
_cell_length_b 9.637
_cell_length_c 11.912
_cell_angle_alpha 90.00
_cell_angle_beta 94.04
_cell_angle_gamma 90.00
_space_group_name_H-M_alt 'P 1'
_space_group_IT_number 1
_space_group_name_Hall 'P 1'
loop_
_atom_site_label
_atom_site_type_symbol
_atom_site_fract_x
_atom_site_fract_y
_atom_site_fract_z
Cu1 Cu 0.000 0.000 0.000
Cu2 Cu 0.000 0.500 0.500
Cu3 Cu 0.114 0.024 0.273
Cu4 Cu 0.114 0.476 0.773
Cu5 Cu 0.344 0.734 0.625
Cu6 Cu 0.344 0.766 0.125
Cu7 Cu 0.500 0.000 0.500
Cu8 Cu 0.500 0.500 0.000
Cu9 Cu 0.656 0.234 0.875
Cu10 Cu 0.656 0.266 0.375
Cu11 Cu 0.886 0.524 0.227
Cu12 Cu 0.886 0.976 0.727
B1 B 0.312 0.740 0.372
B2 B 0.312 0.760 0.872
B3 B 0.688 0.240 0.128
B4 B 0.688 0.260 0.628
O1 O 0.011 0.581 0.645
O2 O 0.011 0.919 0.145
O3 O 0.250 0.675 0.269
O4 O 0.250 0.825 0.769
O5 O 0.273 0.132 0.403
O6 O 0.273 0.368 0.903
O7 O 0.308 0.663 0.469
O8 O 0.308 0.837 0.969
O9 O 0.397 0.619 0.872
O10 O 0.397 0.881 0.372
O11 O 0.603 0.119 0.628
O12 O 0.603 0.381 0.128
O13 O 0.692 0.163 0.031
O14 O 0.692 0.337 0.531
O15 O 0.727 0.632 0.097
O16 O 0.727 0.868 0.597
O17 O 0.750 0.175 0.231
O18 O 0.750 0.325 0.731
O19 O 0.989 0.081 0.855
O20 O 0.989 0.419 0.355
```

The 8 most intense peaks (2θ = 10–80°), low angle first:
Position (°2θ), I (rel.)
17.54, 671
27.69, 420
28.21, 912
32.10, 427
34.74, 436
35.50, 1000
37.32, 279
45.97, 403



# 5
This entry pairs a crystal structure of CuBPbO5 with its simulated PXRD pattern. Radiation: Cu Kα (λ = 1.5418 Å). Structure: a crystal structure in Alexandria, relaxed with PBE.
No peak broadening, texture or thermal motion is included.

Structural model:
```
data_CuBPbO5
_chemical_formula_sum 'Cu2 B2 Pb2 O10'
_cell_length_a 5.510
_cell_length_b 5.510
_cell_length_c 7.604
_cell_angle_alpha 109.42
_cell_angle_beta 109.42
_cell_angle_gamma 92.45
_space_group_name_H-M_alt 'P 1'
_space_group_IT_number 1
_space_group_name_Hall 'P 1'
loop_
_atom_site_label
_atom_site_type_symbol
_atom_site_fract_x
_atom_site_fract_y
_atom_site_fract_z
Cu1 Cu 0.110 0.890 0.750
Cu2 Cu 0.890 0.110 0.250
B1 B 0.427 0.573 0.750
B2 B 0.573 0.427 0.250
Pb1 Pb 0.000 0.500 0.000
Pb2 Pb 0.500 0.000 0.500
O1 O 0.116 0.884 0.250
O2 O 0.271 0.685 0.884
O3 O 0.298 0.330 0.149
O4 O 0.315 0.729 0.616
O5 O 0.330 0.298 0.649
O6 O 0.670 0.702 0.351
O7 O 0.685 0.271 0.384
O8 O 0.702 0.670 0.851
O9 O 0.729 0.315 0.116
O10 O 0.884 0.116 0.750
```

The 8 most intense peaks (2θ = 10–80°), low angle first:
Position (°2θ), I (rel.)
17.54, 743
22.35, 301
25.54, 1000
27.23, 553
35.10, 540
36.55, 318
37.62, 333
53.63, 298



# 6
This entry pairs a crystal structure of PmCu2B2O7 with its simulated PXRD pattern. Radiation: Cu Kα (λ = 1.5418 Å). Structure: a crystal structure in Alexandria, relaxed with PBE.
No peak broadening, texture or thermal motion is included.

Structural model:
```
data_PmCu2B2O7
_chemical_formula_sum 'Pm1 Cu2 B2 O7'
_cell_length_a 8.708
_cell_length_b 8.708
_cell_length_c 8.708
_cell_angle_alpha 33.26
_cell_angle_beta 33.26
_cell_angle_gamma 33.26
_space_group_name_H-M_alt 'P 1'
_space_group_IT_number 1
_space_group_name_Hall 'P 1'
loop_
_atom_site_label
_atom_site_type_symbol
_atom_site_fract_x
_atom_site_fract_y
_atom_site_fract_z
Pm1 Pm 0.000 0.000 0.000
Cu1 Cu 0.429 0.429 0.429
Cu2 Cu 0.571 0.571 0.571
B1 B 0.271 0.271 0.271
B2 B 0.729 0.729 0.729
O1 O 0.009 0.455 0.716
O2 O 0.284 0.545 0.991
O3 O 0.455 0.716 0.009
O4 O 0.500 0.500 0.500
O5 O 0.545 0.991 0.284
O6 O 0.716 0.009 0.455
O7 O 0.991 0.284 0.545
```

The 8 most intense peaks (2θ = 10–80°), low angle first:
Position (°2θ), I (rel.)
10.76, 867
21.81, 1000
25.19, 457
27.46, 468
32.82, 743
36.04, 515
42.52, 275
49.47, 484



# 7
This entry pairs a crystal structure of SrCu2B2O6 with its simulated PXRD pattern. Radiation: Cu Kα (λ = 1.5418 Å). Structure: a crystal structure in Alexandria, relaxed with PBE.
No peak broadening, texture or thermal motion is included.

Structural model:
```
data_SrCu2B2O6
_chemical_formula_sum 'Sr2 Cu4 B4 O12'
_cell_length_a 7.284
_cell_length_b 7.284
_cell_length_c 7.284
_cell_angle_alpha 102.65
_cell_angle_beta 102.65
_cell_angle_gamma 124.19
_space_group_name_H-M_alt 'P 1'
_space_group_IT_number 1
_space_group_name_Hall 'P 1'
loop_
_atom_site_label
_atom_site_type_symbol
_atom_site_fract_x
_atom_site_fract_y
_atom_site_fract_z
Sr1 Sr 0.250 0.250 0.000
Sr2 Sr 0.750 0.750 0.000
Cu1 Cu 0.114 0.614 0.728
Cu2 Cu 0.386 0.114 0.500
Cu3 Cu 0.614 0.886 0.500
Cu4 Cu 0.886 0.386 0.272
B1 B 0.204 0.296 0.500
B2 B 0.296 0.796 0.092
B3 B 0.704 0.204 0.908
B4 B 0.796 0.704 0.500
O1 O 0.098 0.402 0.500
O2 O 0.146 0.828 0.974
O3 O 0.172 0.146 0.318
O4 O 0.328 0.646 0.974
O5 O 0.354 0.328 0.682
O6 O 0.402 0.902 0.304
O7 O 0.598 0.098 0.696
O8 O 0.646 0.672 0.318
O9 O 0.672 0.354 0.026
O10 O 0.828 0.854 0.682
O11 O 0.854 0.172 0.026
O12 O 0.902 0.598 0.500
```

The 8 most intense peaks (2θ = 10–80°), low angle first:
Position (°2θ), I (rel.)
25.48, 463
26.14, 361
27.72, 279
29.65, 1000
31.06, 441
32.82, 258
48.07, 657
51.16, 319